# 1
# Ca4Ir
Simulated PXRD pattern, copper Kα. Input: a DFT-relaxed cell (PBE, Alexandria).
Lines closer than 0.1° are merged.

Largest 10 diffraction maxima, in order of rising 2θ, 2θ = 5–70°:
2θ (°)	I (rel.)	h k l
14.6	100.0	1 0 1
19.6	59.3	2 0 0
24.5	21.5	2 1 1
25.8	31.8	1 1 2
31.6	45.6	3 0 1
34.3	33.5	1 0 3
37.4	33.9	3 2 1
38.3	47.8	3 1 2
39.8	26.3	4 0 0
48.0	20.9	3 3 2

```
data_Ca4Ir
_symmetry_space_group_name_H-M 'I 41/a m d'
_symmetry_Int_Tables_number 141
_cell_length_a 9.063
_cell_length_b 9.063
_cell_length_c 8.198
_cell_angle_alpha 90.00
_cell_angle_beta 90.00
_cell_angle_gamma 90.00
loop_
_symmetry_equiv_pos_as_xyz
'x,y,z'
'-x,-y,-z'
'-y+1/4,x+3/4,z+1/4'
'y+1/4,-x+3/4,-z+1/4'
'-x+1/2,-y,z+1/2'
'x+1/2,y,-z+1/2'
'y+1/4,-x+1/4,z+3/4'
'-y+1/4,x+1/4,-z+3/4'
'x,-y,-z'
'-x,y,z'
'-y+1/4,-x+1/4,-z+3/4'
'y+1/4,x+1/4,z+3/4'
'-x+1/2,y,-z+1/2'
'x+1/2,-y,z+1/2'
'y+1/4,x+3/4,-z+1/4'
'-y+1/4,-x+3/4,z+1/4'
'x+1/2,y+1/2,z+1/2'
'-x+1/2,-y+1/2,-z+1/2'
'-y+3/4,x+1/4,z+3/4'
'y+3/4,-x+1/4,-z+3/4'
'-x,-y+1/2,z'
'x,y+1/2,-z'
'y+3/4,-x+3/4,z+1/4'
'-y+3/4,x+3/4,-z+1/4'
'x+1/2,-y+1/2,-z+1/2'
'-x+1/2,y+1/2,z+1/2'
'-y+3/4,-x+3/4,-z+1/4'
'y+3/4,x+3/4,z+1/4'
'-x,y+1/2,-z'
'x,-y+1/2,z'
'y+3/4,x+1/4,-z+3/4'
'-y+3/4,-x+1/4,z+3/4'
loop_
_atom_site_label
_atom_site_type_symbol
_atom_site_fract_x
_atom_site_fract_y
_atom_site_fract_z
Ca1 Ca 0.000 0.054 0.192
Ir1 Ir 0.000 0.250 0.875
```



# 2
# Ca2LaIr
Simulated PXRD pattern, copper Kα. Input: a DFT-relaxed cell (PBE, Alexandria).
Lines closer than 0.1° are merged.

Largest 10 diffraction maxima, in order of rising 2θ, 2θ = 5–70°:
2θ (°)	I (rel.)	h k l
18.2	100.0	0 2 0
20.0	91.5	1 1 1
30.9	45.6	1 1 2
32.7	40.1	0 2 2
32.9	50.3	1 3 1
36.9	23.5	0 4 0
37.1	46.2	2 1 2
37.9	24.3	3 0 1
39.0	29.8	3 1 1
46.8	36.5	1 2 3

```
data_Ca2LaIr
_symmetry_space_group_name_H-M 'P n m a'
_symmetry_Int_Tables_number 62
_cell_length_a 7.640
_cell_length_b 9.733
_cell_length_c 6.614
_cell_angle_alpha 90.00
_cell_angle_beta 90.00
_cell_angle_gamma 90.00
loop_
_symmetry_equiv_pos_as_xyz
'x,y,z'
'-x,-y,-z'
'-x+1/2,-y,z+1/2'
'x+1/2,y,-z+1/2'
'x+1/2,-y+1/2,-z+1/2'
'-x+1/2,y+1/2,z+1/2'
'-x,y+1/2,-z'
'x,-y+1/2,z'
loop_
_atom_site_label
_atom_site_type_symbol
_atom_site_fract_x
_atom_site_fract_y
_atom_site_fract_z
Ca1 Ca 0.169 0.068 0.164
La1 La 0.048 0.250 0.649
Ir1 Ir 0.128 0.750 0.981
```



# 3
# CaLa3Ir
Simulated PXRD pattern, copper Kα. Input: a DFT-relaxed cell (PBE, Alexandria).
Lines closer than 0.1° are merged.

Largest 10 diffraction maxima, in order of rising 2θ, 2θ = 5–70°:
2θ (°)	I (rel.)	h k l
14.2	100.0	1 1 0
19.7	55.5	0 2 1
28.6	51.4	2 2 0
28.8	50.3	2 2 -2
31.5	42.4	1 3 1
31.6	49.2	1 3 -2
32.8	72.3	3 1 -1
37.4	38.2	1 5 0
40.0	40.7	0 4 2
47.6	22.4	2 6 -1

```
data_CaLa3Ir
_symmetry_space_group_name_H-M 'C 1 c 1'
_symmetry_Int_Tables_number 9
_cell_length_a 8.600
_cell_length_b 12.786
_cell_length_c 7.658
_cell_angle_alpha 90.00
_cell_angle_beta 123.76
_cell_angle_gamma 90.00
loop_
_symmetry_equiv_pos_as_xyz
'x,y,z'
'x,-y,z+1/2'
'x+1/2,y+1/2,z'
'x+1/2,-y+1/2,z+1/2'
loop_
_atom_site_label
_atom_site_type_symbol
_atom_site_fract_x
_atom_site_fract_y
_atom_site_fract_z
Ca1 Ca 0.000 0.021 0.000
La1 La 0.166 0.279 0.505
La2 La 0.303 0.272 0.104
La3 La 0.453 0.027 0.597
Ir1 Ir 0.253 0.132 0.808
```